1.
Simulated XRD peak list of Ce2Te2C for copper Kα, from a cell relaxed with PBE.

Largest 8 diffraction maxima, low angle first, 15 to 90 degrees two-theta:
| d [Å] | 2θ/deg | I_rel |
| --- | --- | --- |
| 3.450 | 25.82 | 41 |
| 3.151 | 28.32 | 64 |
| 3.045 | 29.33 | 88 |
| 2.920 | 30.62 | 100 |
| 2.593 | 34.59 | 63 |
| 2.442 | 36.80 | 55 |
| 2.283 | 39.47 | 31 |
| 2.190 | 41.23 | 51 |

```
Ce2Te2C
1.0
-3.4500 6.3022 3.0448
3.4500 -6.3022 3.0448
3.4500 6.3022 -3.0448
Ce Te C
4 4 2
direct
0.0979 0.1857 0.2836
0.4021 0.6857 0.0878
0.5979 0.3143 0.9122
0.9021 0.8143 0.7164
0.1463 0.6644 0.8107
0.3537 0.1644 0.5180
0.6463 0.8356 0.4820
0.8537 0.3356 0.1893
0.2500 0.2500 0.0000
0.7500 0.7500 0.0000
```

2.
Simulated XRD peak list of Pu3InRh for copper Kα, from a cell relaxed with PBE.

Largest 8 diffraction maxima, low angle first, 15 to 90 degrees two-theta:
| d [Å] | 2θ/deg | I_rel |
| --- | --- | --- |
| 2.648 | 33.86 | 100 |
| 2.627 | 34.14 | 64 |
| 2.446 | 36.74 | 60 |
| 2.387 | 37.68 | 72 |
| 2.375 | 37.89 | 53 |
| 2.366 | 38.03 | 59 |
| 1.888 | 48.20 | 24 |
| 1.427 | 65.42 | 25 |

```
Pu3InRh
1.0
7.2765 0.0000 0.0000
0.0000 6.4966 0.0000
-2.7861 0.0000 9.1411
Pu In Rh
12 4 4
direct
0.0003 0.2328 0.0018
0.9997 0.2328 0.4982
0.0003 0.7672 0.5018
0.9997 0.7672 0.9982
0.2219 0.4880 0.7914
0.2219 0.5120 0.2914
0.3526 0.3189 0.0723
0.3526 0.6811 0.5723
0.6474 0.3189 0.4277
0.6474 0.6811 0.9277
0.7781 0.4880 0.7086
0.7781 0.5120 0.2086
0.2566 0.0141 0.3100
0.2566 0.9859 0.8100
0.7435 0.0141 0.1900
0.7435 0.9859 0.6900
0.3953 0.2160 0.5952
0.3953 0.7840 0.0952
0.6047 0.2160 0.9048
0.6047 0.7840 0.4048
```

3.
Simulated XRD peak list of Pr3Sm2Ge4 for copper Kα, from a cell relaxed with PBE.

Largest 8 diffraction maxima, low angle first, 15 to 90 degrees two-theta:
| d [Å] | 2θ/deg | I_rel |
| --- | --- | --- |
| 2.858 | 31.30 | 100 |
| 2.810 | 31.85 | 57 |
| 2.771 | 32.30 | 83 |
| 2.733 | 32.77 | 89 |
| 2.582 | 34.75 | 44 |
| 2.537 | 35.38 | 41 |
| 2.527 | 35.53 | 45 |
| 2.495 | 36.00 | 87 |

```
Pr3Sm2Ge4
1.0
8.1943 0.0000 0.0000
0.0000 8.0761 0.0000
-2.9197 0.0000 7.3190
Pr Sm Ge
6 4 8
direct
0.0000 0.0000 0.0000
0.0000 0.5000 0.5000
0.3006 0.1818 0.4321
0.3006 0.3182 0.9321
0.6994 0.6818 0.0679
0.6994 0.8182 0.5679
0.2649 0.6648 0.2726
0.2649 0.8352 0.7726
0.7351 0.1648 0.2274
0.7351 0.3352 0.7274
0.0060 0.1244 0.6213
0.0060 0.3756 0.1213
0.4147 0.5372 0.6737
0.4147 0.9628 0.1737
0.5853 0.0372 0.8263
0.5853 0.4628 0.3263
0.9940 0.6244 0.8787
0.9940 0.8756 0.3787
```

4.
Simulated XRD peak list of Nb4Pb3O13 for copper Kα, from a cell relaxed with PBE.

Largest 8 diffraction maxima, low angle first, 15 to 90 degrees two-theta:
| d [Å] | 2θ/deg | I_rel |
| --- | --- | --- |
| 5.391 | 16.44 | 17 |
| 3.238 | 27.55 | 18 |
| 3.141 | 28.41 | 35 |
| 3.103 | 28.77 | 100 |
| 2.696 | 33.24 | 51 |
| 1.915 | 47.48 | 27 |
| 1.897 | 47.94 | 28 |
| 1.624 | 56.67 | 30 |

```
Nb4Pb3O13
1.0
3.7949 2.1910 6.2825
-3.7949 2.1910 6.2825
0.0000 -4.3820 6.2825
Nb Pb O
4 3 13
direct
0.0000 0.0000 0.0000
0.5015 0.9985 0.9985
0.9985 0.5015 0.9985
0.9985 0.9985 0.5015
0.9997 0.5134 0.5134
0.5134 0.9997 0.5134
0.5134 0.5134 0.9997
0.0474 0.6783 0.6783
0.0537 0.0537 0.6816
0.0537 0.6816 0.0537
0.2961 0.2961 0.9345
0.2961 0.9345 0.2961
0.3078 0.9226 0.9226
0.6451 0.6451 0.6451
0.6783 0.0474 0.6783
0.6783 0.6783 0.0474
0.6816 0.0537 0.0537
0.9226 0.3078 0.9226
0.9226 0.9226 0.3078
0.9345 0.2961 0.2961
```